(1)
For Er2HfPd8, a structure optimized by DFT (PBE) gives the theoretical powder diffractogram in this record (a wavelength of 1.5418 Å).
Intensities are scaled so that the largest is 100.

Atomic structure:
a b c (Å): 7.595 7.595 6.686
angles (deg): 107.99 107.99 31.78
Atoms (fractional coordinates):
Er (0.217, 0.217, 0.166)
Er (0.783, 0.783, 0.834)
Hf (0.500, 0.500, 0.500)
Pd (0.036, 0.036, 0.225)
Pd (0.139, 0.139, 0.673)
Pd (0.327, 0.327, 0.593)
Pd (0.408, 0.408, 0.062)
Pd (0.592, 0.592, 0.938)
Pd (0.673, 0.673, 0.407)
Pd (0.861, 0.861, 0.327)
Pd (0.964, 0.964, 0.775)

Principal peaks in the range 2θ = 5–70°, in order of falling intensity:
2θ (°)	d/Å	Rel. int.
37.86	2.376	100
43.52	2.080	18
42.41	2.132	16
46.01	1.973	15
65.19	1.431	10
62.39	1.488	10
64.47	1.445	5
64.23	1.450	4
25.29	3.521	4
41.88	2.157	2
39.09	2.305	2
46.60	1.949	1



(2)
For Sn13O10F6, a structure optimized by DFT (PBE) gives the theoretical powder diffractogram in this record (a wavelength of 1.5418 Å).
Intensities are scaled so that the largest is 100.

Atomic structure:
a b c (Å): 7.446 8.347 23.043
angles (deg): 92.98 90.01 116.47
Atoms (fractional coordinates):
Sn (0.014, 0.168, 0.135)
Sn (0.080, 0.304, 0.917)
Sn (0.115, 0.785, 0.706)
Sn (0.151, 0.536, 0.563)
Sn (0.154, 0.168, 0.635)
Sn (0.188, 0.922, 0.489)
Sn (0.204, 0.000, 0.250)
Sn (0.225, 0.304, 0.418)
Sn (0.265, 0.078, 0.011)
Sn (0.271, 0.691, 0.350)
Sn (0.330, 0.215, 0.794)
Sn (0.385, 0.536, 0.063)
Sn (0.420, 0.691, 0.850)
Sn (0.580, 0.309, 0.150)
Sn (0.615, 0.464, 0.937)
Sn (0.670, 0.785, 0.206)
Sn (0.729, 0.309, 0.650)
Sn (0.735, 0.922, 0.989)
Sn (0.775, 0.696, 0.582)
Sn (0.796, 0.000, 0.750)
Sn (0.812, 0.078, 0.511)
Sn (0.846, 0.832, 0.365)
Sn (0.849, 0.464, 0.437)
Sn (0.885, 0.215, 0.294)
Sn (0.920, 0.696, 0.083)
Sn (0.986, 0.832, 0.865)
O (0.005, 0.980, 0.558)
O (0.023, 0.064, 0.818)
O (0.025, 0.021, 0.942)
O (0.031, 0.352, 0.482)
O (0.041, 0.064, 0.318)
O (0.060, 0.733, 0.404)
O (0.061, 0.407, 0.362)
O (0.321, 0.351, 0.982)
O (0.326, 0.267, 0.096)
O (0.346, 0.407, 0.862)
O (0.654, 0.593, 0.138)
O (0.674, 0.733, 0.904)
O (0.679, 0.649, 0.018)
O (0.939, 0.593, 0.638)
O (0.940, 0.267, 0.596)
O (0.959, 0.936, 0.682)
O (0.969, 0.648, 0.518)
O (0.975, 0.979, 0.058)
O (0.977, 0.936, 0.182)
O (0.995, 0.020, 0.442)
F (0.020, 0.275, 0.719)
F (0.254, 0.275, 0.219)
F (0.266, 0.648, 0.931)
F (0.311, 0.919, 0.640)
F (0.382, 0.647, 0.431)
F (0.393, 0.081, 0.860)
F (0.607, 0.919, 0.140)
F (0.618, 0.353, 0.569)
F (0.689, 0.081, 0.360)
F (0.734, 0.352, 0.069)
F (0.746, 0.725, 0.781)
F (0.980, 0.725, 0.281)

Principal peaks in the range 2θ = 5–70°, in order of falling intensity:
2θ (°)	d/Å	Rel. int.
32.75	2.734	100
13.29	6.662	70
26.76	3.332	53
29.74	3.004	53
28.56	3.125	51
30.66	2.916	49
13.74	6.444	48
30.90	2.894	46
27.74	3.216	42
23.80	3.739	37
40.93	2.205	37
33.81	2.651	34



(3)
For MgH3Rh, a structure optimized by DFT (PBE) gives the theoretical powder diffractogram in this record (a wavelength of 1.5418 Å).
Intensities are scaled so that the largest is 100.

Atomic structure:
a b c (Å): 5.786 5.786 5.383
angles (deg): 99.89 99.89 98.53
Atoms (fractional coordinates):
Mg (0.102, 0.898, 0.750)
Mg (0.338, 0.662, 0.250)
Mg (0.662, 0.338, 0.750)
Mg (0.898, 0.102, 0.250)
H (0.030, 0.814, 0.367)
H (0.046, 0.572, 0.875)
H (0.186, 0.970, 0.133)
H (0.325, 0.330, 0.930)
H (0.330, 0.325, 0.430)
H (0.428, 0.954, 0.625)
H (0.572, 0.046, 0.375)
H (0.670, 0.675, 0.570)
H (0.675, 0.670, 0.070)
H (0.814, 0.030, 0.867)
H (0.954, 0.428, 0.125)
H (0.970, 0.186, 0.633)
Rh (0.176, 0.428, 0.675)
Rh (0.428, 0.176, 0.175)
Rh (0.572, 0.824, 0.825)
Rh (0.824, 0.572, 0.325)

Principal peaks in the range 2θ = 5–70°, in order of falling intensity:
2θ (°)	d/Å	Rel. int.
39.52	2.280	100
26.61	3.350	92
20.83	4.264	82
33.10	2.707	59
41.17	2.192	54
37.95	2.371	43
24.44	3.643	40
35.02	2.562	39
34.54	2.597	34
35.81	2.508	34
38.47	2.340	30
45.95	1.975	28



(4)
For KMg6Cd, a structure optimized by DFT (PBE) gives the theoretical powder diffractogram in this record (a wavelength of 1.5418 Å).
Intensities are scaled so that the largest is 100.

Atomic structure:
a b c (Å): 5.354 6.649 11.733
angles (deg): 90.00 90.00 90.00
Atoms (fractional coordinates):
K (0.000, 0.000, 0.000)
K (0.000, 0.500, 0.500)
Mg (0.000, 0.000, 0.518)
Mg (0.000, 0.248, 0.255)
Mg (0.000, 0.252, 0.755)
Mg (0.000, 0.500, 0.018)
Mg (0.000, 0.748, 0.755)
Mg (0.000, 0.752, 0.255)
Mg (0.500, 0.000, 0.351)
Mg (0.500, 0.238, 0.604)
Mg (0.500, 0.262, 0.104)
Mg (0.500, 0.500, 0.851)
Mg (0.500, 0.738, 0.104)
Mg (0.500, 0.762, 0.604)
Cd (0.500, 0.000, 0.827)
Cd (0.500, 0.500, 0.327)

Principal peaks in the range 2θ = 5–70°, in order of falling intensity:
2θ (°)	d/Å	Rel. int.
35.27	2.545	100
15.32	5.785	52
34.88	2.572	47
33.47	2.677	38
22.63	3.929	29
30.91	2.893	26
22.48	3.955	23
31.36	2.853	22
61.00	1.519	19
15.10	5.866	17
65.43	1.426	16
46.21	1.965	16



(5)
For Ce2Ho2Tm5, a structure optimized by DFT (PBE) gives the theoretical powder diffractogram in this record (a wavelength of 1.5418 Å).
Intensities are scaled so that the largest is 100.

Atomic structure:
a b c (Å): 7.817 7.817 7.795
angles (deg): 107.26 107.26 37.18
Atoms (fractional coordinates):
Ce (0.108, 0.108, 0.164)
Ce (0.892, 0.892, 0.836)
Ho (0.445, 0.445, 0.165)
Ho (0.555, 0.555, 0.835)
Tm (0.000, 0.000, 0.500)
Tm (0.222, 0.222, 0.833)
Tm (0.332, 0.332, 0.502)
Tm (0.668, 0.668, 0.498)
Tm (0.778, 0.778, 0.167)

Principal peaks in the range 2θ = 5–70°, in order of falling intensity:
2θ (°)	d/Å	Rel. int.
31.28	2.859	100
36.39	2.469	33
52.15	1.754	24
36.04	2.492	17
61.85	1.500	14
62.24	1.492	14
62.39	1.488	14
65.16	1.432	6
65.36	1.428	6
52.30	1.749	6
52.53	1.742	6



(6)
For Ce2SmHo3Tm6, a structure optimized by DFT (PBE) gives the theoretical powder diffractogram in this record (a wavelength of 1.5418 Å).
Intensities are scaled so that the largest is 100.

Atomic structure:
a b c (Å): 6.082 6.082 11.605
angles (deg): 95.01 95.01 119.98
Atoms (fractional coordinates):
Ce (0.167, 0.833, 0.000)
Ce (0.833, 0.167, 0.000)
Sm (0.500, 0.500, 0.000)
Ho (0.000, 0.000, 0.500)
Ho (0.334, 0.666, 0.500)
Ho (0.666, 0.334, 0.500)
Tm (0.080, 0.416, 0.750)
Tm (0.248, 0.248, 0.250)
Tm (0.416, 0.080, 0.750)
Tm (0.584, 0.920, 0.250)
Tm (0.752, 0.752, 0.750)
Tm (0.920, 0.584, 0.250)

Principal peaks in the range 2θ = 5–70°, in order of falling intensity:
2θ (°)	d/Å	Rel. int.
31.20	2.866	100
36.22	2.480	67
62.02	1.496	42
31.31	2.857	33
52.08	1.756	24
52.23	1.751	24
62.17	1.493	14
65.08	1.433	12
65.33	1.428	4
7.74	11.426	1



(7)
For Pr3ZnRu2, a structure optimized by DFT (PBE) gives the theoretical powder diffractogram in this record (a wavelength of 1.5418 Å).
Intensities are scaled so that the largest is 100.

Atomic structure:
a b c (Å): 7.133 7.133 7.133
angles (deg): 69.19 69.19 69.19
Atoms (fractional coordinates):
Pr (0.058, 0.750, 0.442)
Pr (0.250, 0.558, 0.942)
Pr (0.442, 0.058, 0.750)
Pr (0.558, 0.942, 0.250)
Pr (0.750, 0.442, 0.058)
Pr (0.942, 0.250, 0.558)
Zn (0.000, 0.000, 0.000)
Zn (0.500, 0.500, 0.500)
Ru (0.158, 0.158, 0.158)
Ru (0.342, 0.342, 0.342)
Ru (0.658, 0.658, 0.658)
Ru (0.842, 0.842, 0.842)

Principal peaks in the range 2θ = 5–70°, in order of falling intensity:
2θ (°)	d/Å	Rel. int.
27.55	3.237	100
38.50	2.339	72
40.21	2.243	63
56.89	1.619	21
47.99	1.896	19
63.14	1.473	14
56.03	1.641	14
69.64	1.350	10
34.27	2.617	4
33.84	2.649	4
69.85	1.347	4
21.94	4.050	4



(8)
For CsB2PdF8, a structure optimized by DFT (PBE) gives the theoretical powder diffractogram in this record (a wavelength of 1.5418 Å).
Intensities are scaled so that the largest is 100.

Atomic structure:
a b c (Å): 8.682 8.682 8.682
angles (deg): 35.69 35.69 35.69
Atoms (fractional coordinates):
Cs (0.000, 0.000, 0.000)
B (0.244, 0.244, 0.244)
B (0.756, 0.756, 0.756)
Pd (0.500, 0.500, 0.500)
F (0.024, 0.519, 0.782)
F (0.218, 0.976, 0.481)
F (0.302, 0.302, 0.302)
F (0.481, 0.218, 0.976)
F (0.519, 0.782, 0.024)
F (0.698, 0.698, 0.698)
F (0.782, 0.024, 0.519)
F (0.976, 0.481, 0.218)

Principal peaks in the range 2θ = 5–70°, in order of falling intensity:
2θ (°)	d/Å	Rel. int.
24.22	3.675	100
40.54	2.225	41
20.61	4.310	35
41.93	2.154	32
33.68	2.661	30
35.33	2.541	22
54.82	1.674	20
39.81	2.264	16
53.11	1.724	13
21.89	4.060	12
57.06	1.614	12
65.92	1.417	9



(9)
For DyY8Ho3, a structure optimized by DFT (PBE) gives the theoretical powder diffractogram in this record (a wavelength of 1.5418 Å).
Intensities are scaled so that the largest is 100.

Atomic structure:
a b c (Å): 6.129 6.154 10.703
angles (deg): 90.24 90.41 109.06
Atoms (fractional coordinates):
Dy (0.000, 0.000, 0.000)
Y (0.000, 0.000, 0.334)
Y (0.000, 0.000, 0.666)
Y (0.000, 0.500, 0.166)
Y (0.000, 0.500, 0.834)
Y (0.500, 0.000, 0.166)
Y (0.500, 0.000, 0.834)
Y (0.500, 0.500, 0.334)
Y (0.500, 0.500, 0.666)
Ho (0.000, 0.500, 0.500)
Ho (0.500, 0.000, 0.500)
Ho (0.500, 0.500, 0.000)

Principal peaks in the range 2θ = 5–70°, in order of falling intensity:
2θ (°)	d/Å	Rel. int.
30.77	2.906	100
30.87	2.897	33
35.43	2.534	24
51.26	1.782	24
35.79	2.509	22
35.91	2.501	22
61.31	1.512	18
60.72	1.525	14
61.15	1.516	9
61.47	1.509	9
64.05	1.454	8
19.59	4.531	8



(10)
For ZnP4Os2, a structure optimized by DFT (PBE) gives the theoretical powder diffractogram in this record (a wavelength of 1.5418 Å).
Intensities are scaled so that the largest is 100.

Atomic structure:
a b c (Å): 4.479 4.479 12.563
angles (deg): 90.00 90.00 90.00
Atoms (fractional coordinates):
Zn (0.000, 0.000, 0.000)
Zn (0.500, 0.500, 0.500)
P (0.000, 0.000, 0.222)
P (0.000, 0.000, 0.778)
P (0.000, 0.500, 0.000)
P (0.000, 0.500, 0.500)
P (0.500, 0.000, 0.000)
P (0.500, 0.000, 0.500)
P (0.500, 0.500, 0.278)
P (0.500, 0.500, 0.722)
Os (0.000, 0.000, 0.394)
Os (0.000, 0.000, 0.606)
Os (0.500, 0.500, 0.106)
Os (0.500, 0.500, 0.894)

Principal peaks in the range 2θ = 5–70°, in order of falling intensity:
2θ (°)	d/Å	Rel. int.
28.17	3.167	100
21.06	4.219	90
41.19	2.191	86
40.27	2.240	62
58.97	1.566	60
14.10	6.282	35
29.19	3.059	34
40.45	2.230	29
45.87	1.978	25
58.26	1.584	21
65.95	1.417	18
50.50	1.807	15



(11)
For AsP2, a structure optimized by DFT (PBE) gives the theoretical powder diffractogram in this record (a wavelength of 1.5418 Å).
Intensities are scaled so that the largest is 100.

Atomic structure:
a b c (Å): 2.546 2.546 7.832
angles (deg): 90.00 90.00 90.00
Atoms (fractional coordinates):
As (0.000, 0.000, 0.000)
P (0.000, 0.000, 0.349)
P (0.000, 0.000, 0.651)

Principal peaks in the range 2θ = 5–70°, in order of falling intensity:
2θ (°)	d/Å	Rel. int.
35.25	2.546	100
50.04	1.823	68
11.30	7.832	56
34.35	2.611	52
62.69	1.482	34
50.71	1.800	34
22.71	3.916	26
42.35	2.134	21
37.13	2.421	16
56.24	1.636	9
52.13	1.754	6
58.97	1.566	3



(12)
For UTiO5, a structure optimized by DFT (PBE) gives the theoretical powder diffractogram in this record (a wavelength of 1.5418 Å).
Intensities are scaled so that the largest is 100.

Atomic structure:
a b c (Å): 3.739 6.446 7.933
angles (deg): 90.00 90.00 90.00
Atoms (fractional coordinates):
U (0.000, 0.000, 0.000)
U (0.500, 0.500, 0.500)
Ti (0.000, 0.000, 0.500)
Ti (0.500, 0.500, 0.000)
O (0.000, 0.000, 0.238)
O (0.000, 0.000, 0.762)
O (0.000, 0.304, 0.500)
O (0.000, 0.500, 0.000)
O (0.000, 0.696, 0.500)
O (0.500, 0.000, 0.500)
O (0.500, 0.196, 0.000)
O (0.500, 0.500, 0.262)
O (0.500, 0.500, 0.738)
O (0.500, 0.804, 0.000)

Principal peaks in the range 2θ = 5–70°, in order of falling intensity:
2θ (°)	d/Å	Rel. int.
27.61	3.230	100
17.73	5.003	67
35.85	2.505	60
22.42	3.966	58
54.27	1.690	41
38.59	2.333	34
26.35	3.382	24
48.89	1.863	17
54.41	1.686	16
50.91	1.794	14
45.75	1.983	13
69.19	1.358	12